Diffraction record for CdCuSiAgTe4. The X-ray powder pattern is calculated, not measured: it uses a crystal structure in OQMD, relaxed with GGA-PBE and Cu Kα, 1.54184 Å.
Kinematic intensities with the Lorentz-polarization factor, no thermal factor.

Crystal structure
Cell: 6.291 6.291 12.166 Å, 90.00 90.00 90.00°
Space group I-4 (No. 82)
Asymmetric unit:
Cd: 0.000 0.000 0.000 (multiplicity 2)
Cu: 0.000 0.500 0.750 (multiplicity 2)
Si: 0.000 0.000 0.500 (multiplicity 2)
Ag: 0.000 0.500 0.250 (multiplicity 2)
Te: 0.215 0.759 0.629 (multiplicity 8)

Peak list (8 most intense, 2θ = 10–90°, most intense first)
| (hkl) | 2theta | I/Imax |
| --- | --- | --- |
| 1 1 2 | 24.79 | 100 |
| 2 0 4 | 41.29 | 47 |
| 1 3 2 | 48.12 | 28 |
| 2 2 0 | 40.56 | 23 |
| 1 1 6 | 49.39 | 15 |
| 2 4 4 | 74.28 | 12 |
| 3 1 6 | 65.76 | 11 |
| 1 2 1 | 32.67 | 10 |

Diffraction record for Dy3Cd3Ga2Ag. The X-ray powder pattern is calculated, not measured: it uses a crystal structure in OQMD, relaxed with GGA-PBE and Cu Kα, 1.54184 Å.
Kinematic intensities with the Lorentz-polarization factor, no thermal factor.

Crystal structure
Cell: 7.3446 7.3446 4.3448 Å, 90.00 90.00 120.00°
Space group P-62m (No. 189)
Asymmetric unit:
Dy: 0.0000 0.4199 0.0000 (multiplicity 3)
Cd: 0.0000 0.7477 0.5000 (multiplicity 3)
Ga: 0.3333 0.6667 0.5000 (multiplicity 2)
Ag: 0.0000 0.0000 0.0000 (multiplicity 1)

Peak list (8 most intense, 2θ = 10–90°, most intense first)
| (hkl) | 2theta | I/Imax |
| --- | --- | --- |
| 2 0 1 | 34.96 | 100 |
| 1 1 1 | 31.91 | 91 |
| 2 1 0 | 37.41 | 45 |
| 0 0 2 | 41.57 | 30 |
| 2 1 2 | 57.15 | 26 |
| 3 2 1 | 67.74 | 24 |
| 3 1 1 | 56.28 | 21 |
| 3 0 0 | 42.64 | 20 |

Diffraction record for GdDyCd2Ag4. The X-ray powder pattern is calculated, not measured: it uses a crystal structure in OQMD, relaxed with GGA-PBE and Cu Kα, 1.54184 Å.
Kinematic intensities with the Lorentz-polarization factor, no thermal factor.

Crystal structure
Cell: 4.955 4.955 7.006 Å, 90.00 90.00 90.00°
Space group P4/mmm (No. 123)
Asymmetric unit:
Gd: 0.000 0.000 0.000 (multiplicity 1)
Dy: 0.500 0.500 0.500 (multiplicity 1)
Cd: 0.000 0.000 0.500 (multiplicity 1)
Cd: 0.500 0.500 0.000 (multiplicity 1)
Ag: 0.000 0.500 0.251 (multiplicity 4)

Peak list (8 most intense, 2θ = 10–90°, most intense first)
| (hkl) | 2theta | I/Imax |
| --- | --- | --- |
| 2 0 0 | 36.26 | 100 |
| 3 1 2 | 65.22 | 34 |
| 2 2 0 | 52.21 | 17 |
| 4 2 0 | 88.18 | 15 |
| 4 0 0 | 76.97 | 11 |
| 1 0 1 | 21.97 | 2 |
| 1 1 0 | 25.42 | 1 |
| 2 1 1 | 42.80 | 1 |

Diffraction record for Gd2DyCd3Ag3. The X-ray powder pattern is calculated, not measured: it uses a crystal structure in OQMD, relaxed with GGA-PBE and Cu Kα, 1.54184 Å.
Kinematic intensities with the Lorentz-polarization factor, no thermal factor.

Crystal structure
Cell: 3.925 13.623 7.881 Å, 90.00 90.00 90.00°
Space group Amm2 (No. 38)
Asymmetric unit:
Gd: 0.000 0.202 0.000 (multiplicity 4)
Dy: 0.000 0.000 0.393 (multiplicity 2)
Cd: 0.500 0.000 0.061 (multiplicity 2)
Cd: 0.500 0.131 0.666 (multiplicity 4)
Ag: 0.000 0.000 0.797 (multiplicity 2)
Ag: 0.500 0.166 0.298 (multiplicity 4)

Peak list (8 most intense, 2θ = 10–90°, most intense first)
| (hkl) | 2theta | I/Imax |
| --- | --- | --- |
| 1 4 0 | 34.84 | 100 |
| 1 3 1 | 32.20 | 79 |
| 0 6 0 | 39.66 | 33 |
| 2 6 0 | 62.52 | 18 |
| 2 0 0 | 46.26 | 18 |
| 1 4 2 | 41.94 | 17 |
| 1 1 5 | 64.06 | 17 |
| 2 1 3 | 59.17 | 16 |

Diffraction record for Dy2YCd3Ag3. The X-ray powder pattern is calculated, not measured: it uses a crystal structure in OQMD, relaxed with GGA-PBE and Cu Kα, 1.54184 Å.
Kinematic intensities with the Lorentz-polarization factor, no thermal factor.

Crystal structure
Cell: 3.912 13.608 7.840 Å, 90.00 90.00 90.00°
Space group Amm2 (No. 38)
Asymmetric unit:
Dy: 0.000 0.202 0.000 (multiplicity 4)
Y: 0.000 0.000 0.606 (multiplicity 2)
Cd: 0.500 0.000 0.938 (multiplicity 2)
Cd: 0.500 0.132 0.334 (multiplicity 4)
Ag: 0.000 0.000 0.201 (multiplicity 2)
Ag: 0.500 0.167 0.702 (multiplicity 4)

Peak list (8 most intense, 2θ = 10–90°, most intense first)
| (hkl) | 2theta | I/Imax |
| --- | --- | --- |
| 1 2 2 | 34.96 | 100 |
| 1 0 2 | 32.31 | 76 |
| 0 3 3 | 39.79 | 35 |
| 1 5 1 | 42.08 | 20 |
| 2 3 3 | 62.76 | 18 |
| 1 7 3 | 64.28 | 18 |
| 2 0 0 | 46.43 | 18 |
| 2 5 1 | 59.38 | 16 |

Diffraction record for ErZrCd2Ag4. The X-ray powder pattern is calculated, not measured: it uses a crystal structure in OQMD, relaxed with GGA-PBE and Cu Kα, 1.54184 Å.
Kinematic intensities with the Lorentz-polarization factor, no thermal factor.

Crystal structure
Cell: 4.854 4.854 6.843 Å, 90.00 90.00 90.00°
Space group P4/mmm (No. 123)
Asymmetric unit:
Er: 0.000 0.000 0.000 (multiplicity 1)
Zr: 0.500 0.500 0.500 (multiplicity 1)
Cd: 0.000 0.000 0.500 (multiplicity 1)
Cd: 0.500 0.500 0.000 (multiplicity 1)
Ag: 0.000 0.500 0.260 (multiplicity 4)

Peak list (8 most intense, 2θ = 10–90°, most intense first)
| (hkl) | 2theta | I/Imax |
| --- | --- | --- |
| 2 0 0 | 37.08 | 100 |
| 3 1 2 | 66.80 | 22 |
| 2 2 0 | 53.39 | 11 |
| 2 0 4 | 66.92 | 11 |
| 2 2 4 | 79.03 | 7 |
| 0 0 4 | 53.57 | 5 |
| 4 0 0 | 78.89 | 3 |
| 1 1 1 | 29.11 | 1 |

Diffraction record for Zr3Cd3AgF20. The X-ray powder pattern is calculated, not measured: it uses a crystal structure in OQMD, relaxed with GGA-PBE and Cu Kα, 1.54184 Å.
Kinematic intensities with the Lorentz-polarization factor, no thermal factor.

Crystal structure
Cell: 10.4549 10.4549 8.2681 Å, 90.00 90.00 120.00°
Space group P6_3/m (No. 176)
Asymmetric unit:
Zr: 0.1348 0.4132 0.2500 (multiplicity 6)
Cd: 0.1631 0.4338 0.7500 (multiplicity 6)
Ag: 0.0000 0.0000 0.2500 (multiplicity 2)
F: 0.0000 0.0000 0.0000 (multiplicity 2)
F: 0.0392 0.8045 0.7500 (multiplicity 6)
F: 0.0542 0.7799 0.2500 (multiplicity 6)
F: 0.0648 0.5888 0.7500 (multiplicity 6)
F: 0.1348 0.4257 0.0090 (multiplicity 12)
F: 0.1811 0.6347 0.2500 (multiplicity 6)
F: 0.3333 0.6667 0.7500 (multiplicity 2)

Peak list (8 most intense, 2θ = 10–90°, most intense first)
| (hkl) | 2theta | I/Imax |
| --- | --- | --- |
| 1 2 0 | 26.04 | 100 |
| 0 0 2 | 21.49 | 72 |
| 1 2 2 | 34.01 | 40 |
| 4 1 0 | 45.93 | 36 |
| 1 2 4 | 51.66 | 29 |
| 4 1 2 | 51.25 | 28 |
| 4 1 4 | 65.34 | 23 |
| 0 0 4 | 43.80 | 18 |

Diffraction record for Gd3Cd3Ga2Ag. The X-ray powder pattern is calculated, not measured: it uses a crystal structure in OQMD, relaxed with GGA-PBE and Cu Kα, 1.54184 Å.
Kinematic intensities with the Lorentz-polarization factor, no thermal factor.

Crystal structure
Cell: 7.3882 7.3882 4.3771 Å, 90.00 90.00 120.00°
Space group P-62m (No. 189)
Asymmetric unit:
Gd: 0.0000 0.5812 0.0000 (multiplicity 3)
Cd: 0.0000 0.2516 0.5000 (multiplicity 3)
Ga: 0.3333 0.6667 0.5000 (multiplicity 2)
Ag: 0.0000 0.0000 0.0000 (multiplicity 1)

Peak list (8 most intense, 2θ = 10–90°, most intense first)
| (hkl) | 2theta | I/Imax |
| --- | --- | --- |
| 2 0 1 | 34.73 | 100 |
| 1 1 1 | 31.70 | 93 |
| 2 1 0 | 37.18 | 46 |
| 0 0 2 | 41.25 | 31 |
| 2 1 2 | 56.73 | 26 |
| 3 2 1 | 67.27 | 25 |
| 3 1 1 | 55.91 | 21 |
| 3 0 0 | 42.38 | 21 |

Diffraction record for CdAg2GeTe2Se2. The X-ray powder pattern is calculated, not measured: it uses a crystal structure in OQMD, relaxed with GGA-PBE and Cu Kα, 1.54184 Å.
Kinematic intensities with the Lorentz-polarization factor, no thermal factor.

Crystal structure
Cell: 13.866 6.219 6.201 Å, 90.00 115.47 90.00°
Space group C2 (No. 5)
Asymmetric unit:
Cd: 0.000 0.000 0.000 (multiplicity 2)
Ag: 0.250 0.012 0.728 (multiplicity 4)
Ge: 0.000 0.535 0.500 (multiplicity 2)
Te: 0.127 0.287 0.857 (multiplicity 4)
Se: 0.118 0.750 0.387 (multiplicity 4)

Peak list (8 most intense, 2θ = 10–90°, most intense first)
| (hkl) | 2theta | I/Imax |
| --- | --- | --- |
| 3 1 -1 | 24.93 | 100 |
| 1 1 1 | 24.61 | 93 |
| 4 2 0 | 40.91 | 49 |
| 2 2 -2 | 41.12 | 46 |
| 1 3 1 | 48.42 | 32 |
| 7 1 -1 | 48.59 | 25 |
| 2 0 2 | 40.57 | 25 |
| 6 0 -2 | 41.38 | 23 |

Diffraction record for CdAg2GeTe2Se2. The X-ray powder pattern is calculated, not measured: it uses a crystal structure in OQMD, relaxed with GGA-PBE and Cu Kα, 1.54184 Å.
Kinematic intensities with the Lorentz-polarization factor, no thermal factor.

Crystal structure
Cell: 8.691 8.911 12.495 Å, 90.00 90.00 90.00°
Space group Fmm2 (No. 42)
Asymmetric unit:
Cd: 0.000 0.000 0.000 (multiplicity 4)
Ag: 0.250 0.250 0.233 (multiplicity 8)
Ge: 0.000 0.000 0.501 (multiplicity 4)
Te: 0.000 0.234 0.372 (multiplicity 8)
Se: 0.227 0.000 0.617 (multiplicity 8)

Peak list (8 most intense, 2θ = 10–90°, most intense first)
| (hkl) | 2theta | I/Imax |
| --- | --- | --- |
| 2 0 2 | 24.96 | 100 |
| 2 2 4 | 40.94 | 97 |
| 0 2 2 | 24.54 | 94 |
| 0 2 6 | 48.19 | 48 |
| 4 2 2 | 48.86 | 27 |
| 0 4 0 | 40.49 | 25 |
| 4 0 0 | 41.56 | 23 |
| 4 4 0 | 59.42 | 15 |

Diffraction record for HfCdAg2. The X-ray powder pattern is calculated, not measured: it uses a crystal structure in OQMD, relaxed with GGA-PBE and Cu Kα, 1.54184 Å.
Kinematic intensities with the Lorentz-polarization factor, no thermal factor.

Crystal structure
Cell: 6.722 6.722 6.722 Å, 90.00 90.00 90.00°
Space group F-43m (No. 216)
Asymmetric unit:
Hf: 0.000 0.000 0.000 (multiplicity 4)
Cd: 0.250 0.250 0.750 (multiplicity 4)
Ag: 0.000 0.000 0.500 (multiplicity 4)
Ag: 0.250 0.250 0.250 (multiplicity 4)

Peak list (8 most intense, 2θ = 10–90°, most intense first)
| (hkl) | 2theta | I/Imax |
| --- | --- | --- |
| 2 2 0 | 37.86 | 100 |
| 4 2 2 | 68.37 | 34 |
| 4 0 0 | 54.62 | 17 |
| 4 4 0 | 80.90 | 11 |
| 1 1 1 | 22.92 | 3 |
| 3 1 1 | 44.72 | 2 |
| 2 0 0 | 26.52 | 2 |
| 3 3 1 | 59.99 | 1 |

Diffraction record for Nd3CdAgHg2Ir2. The X-ray powder pattern is calculated, not measured: it uses a crystal structure in OQMD, relaxed with GGA-PBE and Cu Kα, 1.54184 Å.
Kinematic intensities with the Lorentz-polarization factor, no thermal factor.

Crystal structure
Cell: 3.921 13.678 7.823 Å, 90.00 90.00 90.00°
Space group Amm2 (No. 38)
Asymmetric unit:
Nd: 0.000 0.000 0.000 (multiplicity 2)
Nd: 0.000 0.208 0.384 (multiplicity 4)
Cd: 0.500 0.000 0.326 (multiplicity 2)
Ag: 0.000 0.000 0.586 (multiplicity 2)
Hg: 0.500 0.133 0.722 (multiplicity 4)
Ir: 0.500 0.164 0.095 (multiplicity 4)

Peak list (8 most intense, 2θ = 10–90°, most intense first)
| (hkl) | 2theta | I/Imax |
| --- | --- | --- |
| 1 2 2 | 34.97 | 100 |
| 1 4 0 | 34.79 | 90 |
| 1 3 1 | 32.21 | 87 |
| 1 0 2 | 32.33 | 65 |
| 0 3 3 | 39.82 | 52 |
| 2 0 0 | 46.31 | 51 |
| 0 4 2 | 34.85 | 35 |
| 1 5 1 | 41.94 | 30 |

Diffraction record for Ho5CdAg4. The X-ray powder pattern is calculated, not measured: it uses a crystal structure in OQMD, relaxed with GGA-PBE and Cu Kα, 1.54184 Å.
Kinematic intensities with the Lorentz-polarization factor, no thermal factor.

Crystal structure
Cell: 3.639 3.639 18.219 Å, 90.00 90.00 90.00°
Space group P4/mmm (No. 123)
Asymmetric unit:
Ho: 0.000 0.000 0.000 (multiplicity 1)
Ho: 0.000 0.000 0.198 (multiplicity 2)
Ho: 0.000 0.000 0.394 (multiplicity 2)
Cd: 0.500 0.500 0.500 (multiplicity 1)
Ag: 0.500 0.500 0.099 (multiplicity 2)
Ag: 0.500 0.500 0.298 (multiplicity 2)

Peak list (8 most intense, 2θ = 10–90°, most intense first)
| (hkl) | 2theta | I/Imax |
| --- | --- | --- |
| 1 1 0 | 34.85 | 100 |
| 2 1 5 | 62.48 | 35 |
| 2 0 0 | 50.11 | 18 |
| 2 2 0 | 73.58 | 11 |
| 3 0 5 | 84.05 | 10 |
| 3 1 0 | 84.11 | 5 |
| 1 0 0 | 24.45 | 4 |
| 2 1 0 | 56.52 | 2 |